No. 1
Computed powder diffractogram
Compound: Mg2GeCl6
Radiation: Cu Kα (weighted mean of Kα1 and Kα2)
Structure: the PBE geometry in Alexandria
No peak broadening, texture or thermal motion is included.

The 10 most intense peaks (2θ from 5° to 70°), most intense first:
Position (°2θ), d/Å, I_rel
13.30, 6.656, 100.0
30.50, 2.930, 98.6
38.64, 2.330, 66.1
48.30, 1.884, 32.0
49.69, 1.835, 30.6
50.33, 1.813, 16.9
63.49, 1.465, 13.0
20.61, 4.309, 12.6
58.21, 1.585, 12.3
31.19, 2.868, 8.4

Crystal structure
```
data_Mg2GeCl6
_chemical_formula_sum 'Mg2 Ge1 Cl6'
_cell_length_a 6.5276
_cell_length_b 6.5276
_cell_length_c 6.6560
_cell_angle_alpha 90.00
_cell_angle_beta 90.00
_cell_angle_gamma 120.00
_symmetry_space_group_name_H-M 'P -3 1 m'
_symmetry_Int_Tables_number 162
_symmetry_space_group_name_Hall '-P 3 2'
loop_
_atom_site_label
_atom_site_type_symbol
_atom_site_fract_x
_atom_site_fract_y
_atom_site_fract_z
Mg1 Mg 0.3333 0.6667 0.0000
Ge1 Ge 0.0000 0.0000 0.0000
Cl1 Cl 0.0000 0.3522 0.2099
```


No. 2
Computed powder diffractogram
Compound: MgGe5Cl12
Radiation: Cu Kα (weighted mean of Kα1 and Kα2)
Structure: the PBE geometry in Alexandria
No peak broadening, texture or thermal motion is included.

The 10 most intense peaks (2θ from 5° to 70°), most intense first:
Position (°2θ), d/Å, I_rel
13.35, 6.632, 100.0
33.40, 2.683, 54.4
29.70, 3.008, 49.2
47.16, 1.927, 32.9
43.38, 2.086, 30.6
27.27, 3.270, 25.3
38.06, 2.365, 24.4
61.68, 1.504, 14.4
49.28, 1.849, 12.2
46.58, 1.950, 11.0

Crystal structure
```
data_MgGe5Cl12
_chemical_formula_sum 'Mg2 Ge10 Cl24'
_cell_length_a 6.7441
_cell_length_b 11.6997
_cell_length_c 13.2649
_cell_angle_alpha 90.00
_cell_angle_beta 90.02
_cell_angle_gamma 90.00
_symmetry_space_group_name_H-M 'C 1 2/m 1'
_symmetry_Int_Tables_number 12
loop_
_symmetry_equiv_pos_as_xyz
'x,y,z'
'-x,-y,-z'
'-x,y,-z'
'x,-y,z'
'x+1/2,y+1/2,z'
'-x+1/2,-y+1/2,-z'
'-x+1/2,y+1/2,-z'
'x+1/2,-y+1/2,z'
loop_
_atom_site_label
_atom_site_type_symbol
_atom_site_fract_x
_atom_site_fract_y
_atom_site_fract_z
Mg1 Mg 0.0000 0.0000 0.0000
Ge1 Ge 0.0000 0.1666 0.5000
Ge2 Ge 0.0000 0.3333 0.0000
Ge3 Ge 0.0000 0.5000 0.5000
Cl1 Cl 0.1570 0.1572 0.1061
Cl2 Cl 0.1663 0.0000 0.3877
Cl3 Cl 0.1664 0.3333 0.3876
Cl4 Cl 0.1855 0.5000 0.1061
```


No. 3
Computed powder diffractogram
Compound: Y2MgGeCl
Radiation: Cu Kα (weighted mean of Kα1 and Kα2)
Structure: the PBE geometry in Alexandria
No peak broadening, texture or thermal motion is included.

The 10 most intense peaks (2θ from 5° to 70°), most intense first:
Position (°2θ), d/Å, I_rel
29.41, 3.037, 100.0
31.60, 2.831, 58.6
54.93, 1.672, 32.3
50.73, 1.800, 29.4
45.30, 2.002, 20.8
38.63, 2.331, 16.6
61.01, 1.519, 16.5
15.65, 5.663, 12.8
64.30, 1.449, 9.9
19.04, 4.662, 9.4

Crystal structure
```
data_Y2MgGeCl
_chemical_formula_sum 'Y2 Mg1 Ge1 Cl1'
_cell_length_a 5.6626
_cell_length_b 5.6626
_cell_length_c 4.6619
_cell_angle_alpha 90.00
_cell_angle_beta 90.00
_cell_angle_gamma 90.00
_symmetry_space_group_name_H-M 'P 4/m m m'
_symmetry_Int_Tables_number 123
_symmetry_space_group_name_Hall '-P 4 2'
loop_
_atom_site_label
_atom_site_type_symbol
_atom_site_fract_x
_atom_site_fract_y
_atom_site_fract_z
Y1 Y 0.0000 0.5000 0.0000
Mg1 Mg 0.0000 0.0000 0.0000
Ge1 Ge 0.0000 0.0000 0.5000
Cl1 Cl 0.5000 0.5000 0.5000
```


No. 4
Computed powder diffractogram
Compound: RbMnGeCl5
Radiation: Cu Kα (weighted mean of Kα1 and Kα2)
Structure: the PBE geometry in Alexandria
No peak broadening, texture or thermal motion is included.

The 10 most intense peaks (2θ from 5° to 70°), most intense first:
Position (°2θ), d/Å, I_rel
24.76, 3.595, 100.0
21.12, 4.207, 64.7
21.61, 4.113, 54.7
32.17, 2.782, 52.2
27.55, 3.238, 46.6
30.34, 2.946, 46.4
39.29, 2.293, 43.2
45.56, 1.991, 28.4
39.82, 2.264, 28.0
36.12, 2.487, 26.6

Crystal structure
```
data_RbMnGeCl5
_chemical_formula_sum 'Rb4 Mn4 Ge4 Cl20'
_cell_length_a 8.6227
_cell_length_b 11.9436
_cell_length_c 9.2084
_cell_angle_alpha 90.00
_cell_angle_beta 102.63
_cell_angle_gamma 90.00
_symmetry_space_group_name_H-M 'C 1 2/c 1'
_symmetry_Int_Tables_number 15
loop_
_symmetry_equiv_pos_as_xyz
'x,y,z'
'-x,-y,-z'
'-x,y,-z+1/2'
'x,-y,z+1/2'
'x+1/2,y+1/2,z'
'-x+1/2,-y+1/2,-z'
'-x+1/2,y+1/2,-z+1/2'
'x+1/2,-y+1/2,z+1/2'
loop_
_atom_site_label
_atom_site_type_symbol
_atom_site_fract_x
_atom_site_fract_y
_atom_site_fract_z
Rb1 Rb 0.0000 0.1510 0.2500
Mn1 Mn 0.0000 0.5000 0.0000
Ge1 Ge 0.0000 0.1638 0.7500
Cl1 Cl 0.0000 0.4240 0.2500
Cl2 Cl 0.1090 0.2975 0.6074
Cl3 Cl 0.2175 0.0655 0.9781
```


No. 5
Computed powder diffractogram
Compound: MnTlGeCl6
Radiation: Cu Kα (weighted mean of Kα1 and Kα2)
Structure: the PBE geometry in Alexandria
No peak broadening, texture or thermal motion is included.

The 10 most intense peaks (2θ from 5° to 70°), most intense first:
Position (°2θ), d/Å, I_rel
19.76, 4.494, 100.0
19.57, 4.535, 85.1
20.33, 4.369, 74.3
36.73, 2.447, 57.1
37.63, 2.390, 55.1
32.67, 2.741, 43.7
28.83, 3.097, 30.1
25.89, 3.441, 28.5
42.36, 2.134, 26.8
26.32, 3.385, 26.1

Crystal structure
```
data_MnTlGeCl6
_chemical_formula_sum 'Mn1 Tl1 Ge1 Cl6'
_cell_length_a 6.7725
_cell_length_b 6.7944
_cell_length_c 6.8778
_cell_angle_alpha 88.71
_cell_angle_beta 60.66
_cell_angle_gamma 87.52
_symmetry_space_group_name_H-M 'P 1'
_symmetry_Int_Tables_number 1
loop_
_symmetry_equiv_pos_as_xyz
'x,y,z'
loop_
_atom_site_label
_atom_site_type_symbol
_atom_site_fract_x
_atom_site_fract_y
_atom_site_fract_z
Mn1 Mn 0.0000 0.0000 0.0000
Tl1 Tl 0.3380 0.4994 0.3238
Ge1 Ge 0.6498 0.9998 0.6992
Cl1 Cl 0.2937 0.8071 0.7282
Cl2 Cl 0.3449 0.2170 0.9641
Cl3 Cl 0.6898 0.7832 0.9658
Cl4 Cl 0.7484 0.2107 0.2659
Cl5 Cl 0.9775 0.1920 0.7266
Cl6 Cl 0.9860 0.7902 0.2676
```


No. 6
Computed powder diffractogram
Compound: Sr5GeN4Cl2
Radiation: Cu Kα (weighted mean of Kα1 and Kα2)
Structure: the PBE geometry in Alexandria
No peak broadening, texture or thermal motion is included.

The 10 most intense peaks (2θ from 5° to 70°), most intense first:
Position (°2θ), d/Å, I_rel
31.48, 2.842, 100.0
28.36, 3.148, 69.0
27.22, 3.276, 67.5
40.54, 2.225, 53.4
45.54, 1.992, 31.4
32.04, 2.793, 30.8
30.37, 2.943, 29.4
54.77, 1.676, 29.2
47.52, 1.913, 19.9
35.70, 2.515, 19.3

Crystal structure
```
data_Sr5GeN4Cl2
_chemical_formula_sum 'Sr10 Ge2 N8 Cl4'
_cell_length_a 8.3804
_cell_length_b 9.5572
_cell_length_c 6.2875
_cell_angle_alpha 90.00
_cell_angle_beta 90.00
_cell_angle_gamma 90.00
_symmetry_space_group_name_H-M 'A m m 2'
_symmetry_Int_Tables_number 38
loop_
_symmetry_equiv_pos_as_xyz
'x,y,z'
'-x,-y,z'
'-x,y,z'
'x,-y,z'
'x,y+1/2,z+1/2'
'-x,-y+1/2,z+1/2'
'-x,y+1/2,z+1/2'
'x,-y+1/2,z+1/2'
loop_
_atom_site_label
_atom_site_type_symbol
_atom_site_fract_x
_atom_site_fract_y
_atom_site_fract_z
Sr1 Sr 0.0000 0.0000 0.0000
Sr2 Sr 0.3084 0.1899 0.3846
Ge1 Ge 0.5000 0.0000 0.8960
N1 N 0.3026 0.0000 0.0765
N2 N 0.5000 0.1578 0.7037
Cl1 Cl 0.0000 0.1908 0.6378
```